Diffraction record for ReW2O8. The X-ray powder pattern is calculated, not measured: it uses a GGA+U-relaxed structure and CuKα.
Lines closer than 0.1° are merged.

Structure:
a = 5.095 Å, b = 5.809 Å, c = 10.613 Å
α = 90.00°, β = 118.07°, γ = 90.00°
Positions (direct):
Re 0.000 0.144 0.250
Re 0.000 0.856 0.750
W 0.265 0.335 0.999
W 0.265 0.665 0.499
W 0.735 0.335 0.501
W 0.735 0.665 0.001
O 0.020 0.101 0.882
O 0.020 0.899 0.382
O 0.026 0.387 0.109
O 0.026 0.613 0.609
O 0.438 0.154 0.363
O 0.438 0.846 0.863
O 0.455 0.393 0.889
O 0.455 0.607 0.389
O 0.545 0.393 0.611
O 0.545 0.607 0.111
O 0.562 0.154 0.137
O 0.562 0.846 0.637
O 0.974 0.387 0.391
O 0.974 0.613 0.891
O 0.980 0.101 0.618
O 0.980 0.899 0.118

Top 12 peaks for 2θ = 5–70°, low angle first:
| two_theta | Rel. int. | h k l |
| --- | --- | --- |
| 17.97 | 39 | 0 1 1 |
| 19.93 | 37 | 1 0 -2 |
| 23.22 | 29 | 1 1 -1 |
| 24.42 | 79 | 0 1 2 |
| 30.02 | 100 | 1 1 1 |
| 30.27 | 97 | 1 1 -3 |
| 35.23 | 38 | 2 0 -2 |
| 35.58 | 57 | 1 2 -1 |
| 51.04 | 33 | 0 3 2 |
| 53.23 | 32 | 1 2 3 |
| 53.50 | 46 | 2 0 -6 |
| 63.43 | 38 | 3 2 -3 |